Starting from a crystal structure in Alexandria, relaxed with PBE, the X-ray diffraction stick pattern of PtO6 was simulated for Cu Kα (weighted mean of Kα1 and Kα2).
Intensities are scaled so that the largest is 100.

Atomic structure:
```
PtO6
1.0
3.7499 2.1650 1.9448
-3.7499 2.1650 1.9448
0.0000 -4.3300 1.9448
Pt O
1 6
Cartesian
0.0000 0.0000 0.0000
0.0000 -1.5660 1.2953
-1.3562 0.7830 1.2953
1.3562 0.7830 1.2953
-1.3562 -0.7830 4.5391
1.3562 -0.7830 4.5391
0.0000 1.5660 4.5391
```

The 8 most intense peaks (10° ≤ 2θ ≤ 90°), in order of rising 2θ:
- 20.5 deg, I 100
- 23.7 deg, I 50
- 31.5 deg, I 11
- 33.7 deg, I 12
- 39.8 deg, I 42
- 41.6 deg, I 20
- 48.5 deg, I 30
- 53.0 deg, I 14

Starting from a crystal structure in Alexandria, relaxed with PBE, the X-ray diffraction stick pattern of PtO3 was simulated for Cu Kα (weighted mean of Kα1 and Kα2).
Intensities are scaled so that the largest is 100.

Atomic structure:
```
PtO3
1.0
4.8477 0.0000 0.0000
-2.4238 4.1982 0.0000
0.0000 0.0000 4.2842
Pt O
2 6
Cartesian
0.0000 2.7988 1.0711
2.4238 1.3994 3.2132
-0.7680 1.3302 0.0000
-1.6559 2.8681 2.1421
1.5359 0.0000 0.0000
0.7680 1.3302 2.1421
3.3118 0.0000 2.1421
1.6559 2.8681 0.0000
```

The 8 most intense peaks (10° ≤ 2θ ≤ 90°), in order of rising 2θ:
- 21.2 deg, I 36
- 29.8 deg, I 100
- 37.1 deg, I 29
- 47.7 deg, I 10
- 48.3 deg, I 27
- 57.4 deg, I 26
- 62.4 deg, I 25
- 86.6 deg, I 11

Starting from a crystal structure in Alexandria, relaxed with PBE, the X-ray diffraction stick pattern of PtO8 was simulated for Cu Kα (weighted mean of Kα1 and Kα2).
Intensities are scaled so that the largest is 100.

Atomic structure:
```
PtO8
1.0
-3.2388 3.2388 3.3841
3.2388 -3.2388 3.3841
3.2388 3.2388 -3.3841
Pt O
1 8
Cartesian
0.0000 0.0000 0.0000
2.5993 0.0000 0.0000
3.8784 0.0000 0.0000
2.4914 2.4914 0.0000
0.7474 -0.7474 3.3841
0.0000 2.5993 0.0000
0.0000 3.8784 0.0000
-0.7474 0.7474 3.3841
0.7474 0.7474 3.3841
```

The 8 most intense peaks (10° ≤ 2θ ≤ 90°), in order of rising 2θ:
- 19.0 deg, I 100
- 19.4 deg, I 70
- 26.3 deg, I 64
- 27.5 deg, I 62
- 32.9 deg, I 39
- 33.7 deg, I 69
- 38.5 deg, I 49
- 44.0 deg, I 41

Starting from a crystal structure in Alexandria, relaxed with PBE, the X-ray diffraction stick pattern of Pt2O5 was simulated for Cu Kα (weighted mean of Kα1 and Kα2).
Intensities are scaled so that the largest is 100.

Atomic structure:
```
Pt2O5
1.0
6.1788 -2.4073 0.0000
6.1788 2.4073 0.0000
-0.8736 0.0000 5.2458
Pt O
4 10
Cartesian
3.8052 1.2637 3.7118
7.2422 1.2637 4.1569
4.2419 -1.2637 1.0889
7.6790 -1.2637 1.5340
0.2448 0.4178 4.9837
11.2393 -0.4178 0.2621
0.6816 -0.4178 2.3608
3.3958 0.4349 1.8977
2.9591 -0.4349 4.5206
5.5237 0.3283 3.9343
5.9605 -0.3283 1.3114
8.5251 0.4349 0.7252
8.0883 -0.4349 3.3480
10.8025 0.4178 2.8849
```

The 8 most intense peaks (10° ≤ 2θ ≤ 90°), in order of rising 2θ:
- 25.4 deg, I 100
- 29.3 deg, I 42
- 31.6 deg, I 50
- 34.2 deg, I 26
- 35.4 deg, I 49
- 37.4 deg, I 22
- 48.2 deg, I 23
- 55.2 deg, I 22

Starting from a crystal structure in Alexandria, relaxed with PBE, the X-ray diffraction stick pattern of PuPtO was simulated for Cu Kα (weighted mean of Kα1 and Kα2).
Intensities are scaled so that the largest is 100.

Atomic structure:
```
PuPtO
1.0
-1.8374 1.8374 7.7764
1.8374 -1.8374 7.7764
1.8374 1.8374 -7.7764
Pu Pt O
2 2 2
Cartesian
0.0000 0.0000 1.4428
0.0000 0.0000 14.1100
0.0000 0.0000 4.2751
0.0000 0.0000 11.2777
1.8374 0.0000 0.0000
0.0000 1.8374 0.0000
```

The 8 most intense peaks (10° ≤ 2θ ≤ 90°), in order of rising 2θ:
- 24.9 deg, I 57
- 34.5 deg, I 100
- 37.9 deg, I 95
- 49.7 deg, I 74
- 61.9 deg, I 18
- 64.1 deg, I 42
- 71.5 deg, I 21
- 83.1 deg, I 22